1.
For Mg16Al12N, DFT lattice parameters and positions (PBE) gives the calculated powder X-ray diffraction pattern in this record (CuKα).
No peak broadening, texture or thermal motion is included.

Largest 8 diffraction maxima, by angle, 2θ from 15° to 90°:
d = 2.534 Å, 2θ 35.42, rel. 55, hkl 4 0 -1; d = 2.527 Å, 2θ 35.52, rel. 49, hkl 4 2 -2; d = 2.494 Å, 2θ 36.01, rel. 80, hkl 3 3 -3; d = 2.466 Å, 2θ 36.43, rel. 84, hkl 1 3 -3; d = 2.442 Å, 2θ 36.81, rel. 100, hkl 1 5 -2; d = 2.263 Å, 2θ 39.83, rel. 46, hkl 3 1 1; d = 2.234 Å, 2θ 40.37, rel. 47, hkl 3 5 -2; d = 1.423 Å, 2θ 65.62, rel. 26, hkl 1 5 4

Crystal structure
Cell: 10.783 14.532 9.178 Å, 90.00 125.94 90.00°
Space group Cm (No. 8)
Asymmetric unit:
Mg1 0.000 0.000 0.000
Mg2 0.004 0.301 0.303
Mg3 0.020 0.363 0.982
Mg4 0.182 0.199 0.666
Mg5 0.296 0.000 0.692
Mg6 0.312 0.327 0.990
Mg7 0.321 0.357 0.385
Mg8 0.371 0.000 0.329
Mg9 0.424 0.160 0.582
Mg10 0.481 0.500 0.654
Al1 0.096 0.096 0.344
Al2 0.114 0.500 0.818
Al3 0.179 0.193 0.169
Al4 0.206 0.407 0.631
Al5 0.258 0.093 0.980
Al6 0.326 0.500 0.171
Al7 0.477 0.317 0.800
N1 0.334 0.500 0.377

2.
For NaMg16Al12, DFT lattice parameters and positions (PBE) gives the calculated powder X-ray diffraction pattern in this record (CuKα).
No peak broadening, texture or thermal motion is included.

Largest 8 diffraction maxima, by angle, 2θ from 15° to 90°:
d = 2.644 Å, 2θ 33.90, rel. 7, hkl 4 0 0; d = 2.493 Å, 2θ 36.02, rel. 100, hkl 4 1 1; d = 2.255 Å, 2θ 39.98, rel. 29, hkl 3 3 2; d = 2.159 Å, 2θ 41.84, rel. 10, hkl 4 2 2; d = 2.074 Å, 2θ 43.63, rel. 17, hkl 4 3 1; d = 1.496 Å, 2θ 62.04, rel. 8, hkl 5 5 0; d = 1.439 Å, 2θ 64.77, rel. 27, hkl 7 2 1; d = 1.247 Å, 2θ 76.40, rel. 9, hkl 6 6 0

Crystal structure
Cell: 10.577 10.577 10.577 Å, 90.00 90.00 90.00°
Space group I-43m (No. 217)
Asymmetric unit:
Na1 0.000 0.000 0.000
Mg1 0.041 0.357 0.357
Mg2 0.173 0.173 0.827
Al1 0.091 0.091 0.278

3.
For NaMg16Al12, DFT lattice parameters and positions (PBE) gives the calculated powder X-ray diffraction pattern in this record (CuKα).
No peak broadening, texture or thermal motion is included.

Largest 8 diffraction maxima, by angle, 2θ from 15° to 90°:
d = 2.507 Å, 2θ 35.82, rel. 96, hkl 0 5 1; d = 2.498 Å, 2θ 35.95, rel. 100, hkl 2 3 2; d = 2.486 Å, 2θ 36.12, rel. 96, hkl 0 3 3; d = 2.265 Å, 2θ 39.80, rel. 62, hkl 5 1 1; d = 2.240 Å, 2θ 40.25, rel. 21, hkl 1 0 4; d = 2.086 Å, 2θ 43.38, rel. 21, hkl 4 3 1; d = 1.447 Å, 2θ 64.39, rel. 24, hkl 1 8 2; d = 1.444 Å, 2θ 64.54, rel. 21, hkl 3 6 3

Crystal structure
Cell: 15.0482 15.0482 9.0968 Å, 90.00 90.00 120.00°
Space group R3m (No. 160, hexagonal axes)
Asymmetric unit:
Na1 0.0000 0.0000 0.0000
Mg1 0.0000 0.0000 0.3595
Mg2 0.0094 0.3063 0.6672
Mg3 0.0674 0.5337 0.5803
Mg4 0.2140 0.1070 0.8618
Mg5 0.2194 0.4387 0.1435
Al1 0.0616 0.1233 0.6652
Al2 0.0893 0.5446 0.0923
Al3 0.1502 0.4819 0.8465

4.
For NaMg16Al12, DFT lattice parameters and positions (PBE) gives the calculated powder X-ray diffraction pattern in this record (CuKα).
No peak broadening, texture or thermal motion is included.

Largest 8 diffraction maxima, by angle, 2θ from 15° to 90°:
d = 2.497 Å, 2θ 35.96, rel. 100, hkl 4 0 -3; d = 2.491 Å, 2θ 36.06, rel. 67, hkl 1 3 -3; d = 2.484 Å, 2θ 36.16, rel. 34, hkl 1 5 -2; d = 2.262 Å, 2θ 39.85, rel. 20, hkl 2 0 -4; d = 2.249 Å, 2θ 40.08, rel. 29, hkl 3 5 -2; d = 2.074 Å, 2θ 43.64, rel. 14, hkl 4 4 -1; d = 1.441 Å, 2θ 64.67, rel. 18, hkl 2 6 3; d = 1.439 Å, 2θ 64.76, rel. 11, hkl 1 5 -5

Crystal structure
Cell: 10.601 14.884 9.172 Å, 90.00 125.14 90.00°
Space group Cm (No. 8)
Asymmetric unit:
Na1 0.000 0.000 0.000
Mg1 0.056 0.144 0.282
Mg2 0.080 0.201 0.963
Mg3 0.096 0.500 0.623
Mg4 0.097 0.500 0.280
Mg5 0.151 0.157 0.678
Mg6 0.253 0.342 0.882
Mg7 0.257 0.000 0.938
Mg8 0.268 0.328 0.280
Mg9 0.280 0.000 0.566
Mg10 0.397 0.199 0.596
Al1 0.001 0.407 0.913
Al2 0.097 0.317 0.463
Al3 0.274 0.500 0.099
Al4 0.324 0.092 0.284
Al5 0.367 0.406 0.640
Al6 0.411 0.183 0.094
Al7 0.462 0.500 0.458